Structure and computed X-ray powder pattern of Ho4GaSn3 (the PBE geometry in Alexandria; a wavelength of 1.5418 Å).

Main lines, sorted by position (10° ≤ 2θ ≤ 90°):
index, 2theta, intensity
1 1 1, 30.25, 100.0
0 1 3, 31.16, 22.0
0 0 4, 31.86, 32.7
1 1 3, 37.95, 63.1
0 2 0, 40.38, 25.9
2 0 0, 43.00, 21.7
0 2 4, 52.33, 16.8
2 2 0, 60.45, 16.0

Structural model:
```
data_Ho4GaSn3
_chemical_formula_sum 'Ho4 Ga1 Sn3'
_cell_length_a 4.207
_cell_length_b 4.467
_cell_length_c 11.236
_cell_angle_alpha 90.00
_cell_angle_beta 90.00
_cell_angle_gamma 90.00
_symmetry_space_group_name_H-M 'P m m 2'
_symmetry_Int_Tables_number 25
loop_
_symmetry_equiv_pos_as_xyz
'x,y,z'
'-x,-y,z'
'-x,y,z'
'x,-y,z'
loop_
_atom_site_label
_atom_site_type_symbol
_atom_site_fract_x
_atom_site_fract_y
_atom_site_fract_z
Ho1 Ho 0.000 0.000 0.000
Ho2 Ho 0.000 0.500 0.487
Ho3 Ho 0.500 0.000 0.718
Ho4 Ho 0.500 0.500 0.222
Ga1 Ga 0.000 0.000 0.267
Sn1 Sn 0.000 0.500 0.761
Sn2 Sn 0.500 0.000 0.436
Sn3 Sn 0.500 0.500 0.949
```



Structure and computed X-ray powder pattern of Ho2Ga2Sn (the PBE geometry in Alexandria; a wavelength of 1.5418 Å).

Main lines, sorted by position (10° ≤ 2θ ≤ 90°):
index, 2theta, intensity
2 1 0, 27.53, 13.9
2 0 1, 32.15, 50.0
2 1 1, 34.51, 100.0
3 1 0, 39.33, 35.8
0 0 2, 41.48, 23.0
4 1 1, 56.48, 14.9
3 3 1, 58.02, 13.9
3 1 2, 58.49, 22.6

Structural model:
```
data_Ho2Ga2Sn
_chemical_formula_sum 'Ho4 Ga4 Sn2'
_cell_length_a 7.244
_cell_length_b 7.244
_cell_length_c 4.354
_cell_angle_alpha 90.00
_cell_angle_beta 90.00
_cell_angle_gamma 90.00
_symmetry_space_group_name_H-M 'P 4/m b m'
_symmetry_Int_Tables_number 127
_symmetry_space_group_name_Hall '-P 4 2ab'
loop_
_atom_site_label
_atom_site_type_symbol
_atom_site_fract_x
_atom_site_fract_y
_atom_site_fract_z
Ho1 Ho 0.173 0.327 0.000
Ga1 Ga 0.123 0.623 0.500
Sn1 Sn 0.000 0.000 0.500
```



Structure and computed X-ray powder pattern of Ho8Ga2Sn (the PBE geometry in Alexandria; a wavelength of 1.5418 Å).

Main lines, sorted by position (10° ≤ 2θ ≤ 90°):
index, 2theta, intensity
5 1 -1, 32.66, 100.0
1 1 2, 32.88, 89.5
4 0 -3, 35.59, 39.1
0 2 0, 36.97, 41.5
6 0 1, 41.29, 19.1
4 2 -3, 52.26, 24.3
6 2 1, 56.61, 15.2
5 3 -1, 63.91, 14.6

Structural model:
```
data_Ho8Ga2Sn
_chemical_formula_sum 'Ho16 Ga4 Sn2'
_cell_length_a 16.628
_cell_length_b 4.863
_cell_length_c 7.856
_cell_angle_alpha 90.00
_cell_angle_beta 111.75
_cell_angle_gamma 90.00
_symmetry_space_group_name_H-M 'C 1 2/m 1'
_symmetry_Int_Tables_number 12
loop_
_symmetry_equiv_pos_as_xyz
'x,y,z'
'-x,-y,-z'
'-x,y,-z'
'x,-y,z'
'x+1/2,y+1/2,z'
'-x+1/2,-y+1/2,-z'
'-x+1/2,y+1/2,-z'
'x+1/2,-y+1/2,z'
loop_
_atom_site_label
_atom_site_type_symbol
_atom_site_fract_x
_atom_site_fract_y
_atom_site_fract_z
Ho1 Ho 0.050 0.000 0.233
Ho2 Ho 0.103 0.500 0.960
Ho3 Ho 0.163 0.000 0.739
Ho4 Ho 0.179 0.500 0.446
Ga1 Ga 0.216 0.000 0.160
Sn1 Sn 0.000 0.500 0.500
```



Structure and computed X-ray powder pattern of Tb2HoGa6 (the PBE geometry in Alexandria; a wavelength of 1.5418 Å).

Main lines, sorted by position (10° ≤ 2θ ≤ 90°):
index, 2theta, intensity
1 1 0, 24.41, 14.2
1 1 1, 32.79, 100.0
3 0 0, 42.97, 41.0
0 0 2, 43.91, 12.8
2 2 1, 55.08, 22.7
3 0 2, 63.11, 25.7
4 1 1, 72.29, 20.0
1 1 3, 73.64, 9.5

Structural model:
```
data_Tb2HoGa6
_chemical_formula_sum 'Tb2 Ho1 Ga6'
_cell_length_a 7.2921
_cell_length_b 7.2921
_cell_length_c 4.1243
_cell_angle_alpha 90.00
_cell_angle_beta 90.00
_cell_angle_gamma 120.00
_symmetry_space_group_name_H-M 'P 6/m m m'
_symmetry_Int_Tables_number 191
_symmetry_space_group_name_Hall '-P 6 2'
loop_
_atom_site_label
_atom_site_type_symbol
_atom_site_fract_x
_atom_site_fract_y
_atom_site_fract_z
Tb1 Tb 0.3333 0.6667 0.0000
Ho1 Ho 0.0000 0.0000 0.0000
Ga1 Ga 0.0000 0.3330 0.5000
```



Structure and computed X-ray powder pattern of Tb2Ho2Ga (the PBE geometry in Alexandria; a wavelength of 1.5418 Å).

Main lines, sorted by position (10° ≤ 2θ ≤ 90°):
index, 2theta, intensity
1 0 1, 21.75, 33.3
0 0 6, 30.72, 29.4
1 1 2, 31.80, 100.0
1 0 5, 33.35, 39.2
1 1 4, 36.57, 43.7
2 0 0, 43.04, 37.7
2 0 6, 53.80, 24.6
1 1 10, 61.59, 19.3

Structural model:
```
data_Tb2Ho2Ga
_chemical_formula_sum 'Tb4 Ho4 Ga2'
_cell_length_a 4.204
_cell_length_b 4.204
_cell_length_c 17.464
_cell_angle_alpha 90.00
_cell_angle_beta 90.00
_cell_angle_gamma 90.00
_symmetry_space_group_name_H-M 'I 4/m m m'
_symmetry_Int_Tables_number 139
_symmetry_space_group_name_Hall '-I 4 2'
loop_
_atom_site_label
_atom_site_type_symbol
_atom_site_fract_x
_atom_site_fract_y
_atom_site_fract_z
Tb1 Tb 0.000 0.000 0.087
Ho1 Ho 0.000 0.500 0.250
Ga1 Ga 0.000 0.000 0.500
```



Structure and computed X-ray powder pattern of TbHoGa4 (the PBE geometry in Alexandria; a wavelength of 1.5418 Å).

Main lines, sorted by position (10° ≤ 2θ ≤ 90°):
index, 2theta, intensity
1 1 2, 32.88, 62.1
0 2 2, 33.67, 35.2
1 2 1, 35.00, 100.0
0 1 3, 35.14, 22.1
1 0 3, 39.06, 37.9
0 3 1, 40.28, 20.3
2 0 0, 42.50, 31.0
1 3 4, 64.27, 25.0

Structural model:
```
data_TbHoGa4
_chemical_formula_sum 'Tb2 Ho2 Ga8'
_cell_length_a 4.254
_cell_length_b 6.980
_cell_length_c 8.233
_cell_angle_alpha 90.00
_cell_angle_beta 90.00
_cell_angle_gamma 90.00
_symmetry_space_group_name_H-M 'I m m 2'
_symmetry_Int_Tables_number 44
loop_
_symmetry_equiv_pos_as_xyz
'x,y,z'
'-x,-y,z'
'-x,y,z'
'x,-y,z'
'x+1/2,y+1/2,z+1/2'
'-x+1/2,-y+1/2,z+1/2'
'-x+1/2,y+1/2,z+1/2'
'x+1/2,-y+1/2,z+1/2'
loop_
_atom_site_label
_atom_site_type_symbol
_atom_site_fract_x
_atom_site_fract_y
_atom_site_fract_z
Tb1 Tb 0.000 0.000 0.000
Ho1 Ho 0.000 0.500 0.879
Ga1 Ga 0.000 0.197 0.602
Ga2 Ga 0.000 0.301 0.279
```



Structure and computed X-ray powder pattern of HoGa12Tc4 (the PBE geometry in Alexandria; a wavelength of 1.5418 Å).

Main lines, sorted by position (10° ≤ 2θ ≤ 90°):
index, 2theta, intensity
2 0 0, 18.51, 84.8
2 1 1, 22.71, 30.9
2 2 0, 26.29, 18.9
2 2 2, 32.34, 38.3
4 0 0, 37.52, 100.0
4 2 0, 42.14, 39.3
4 4 0, 54.10, 65.5
4 4 4, 67.70, 21.0

Structural model:
```
data_HoGa12Tc4
_chemical_formula_sum 'Ho2 Ga24 Tc8'
_cell_length_a 9.589
_cell_length_b 9.589
_cell_length_c 9.589
_cell_angle_alpha 90.00
_cell_angle_beta 90.00
_cell_angle_gamma 90.00
_symmetry_space_group_name_H-M 'I m -3 m'
_symmetry_Int_Tables_number 229
_symmetry_space_group_name_Hall '-I 4 2 3'
loop_
_atom_site_label
_atom_site_type_symbol
_atom_site_fract_x
_atom_site_fract_y
_atom_site_fract_z
Ho1 Ho 0.000 0.000 0.000
Ga1 Ga 0.000 0.262 0.262
Tc1 Tc 0.250 0.250 0.250
```



Structure and computed X-ray powder pattern of HoGa2Tc4 (the PBE geometry in Alexandria; a wavelength of 1.5418 Å).

Main lines, sorted by position (10° ≤ 2θ ≤ 90°):
index, 2theta, intensity
1 1 1, 30.90, 16.0
0 4 1, 33.26, 16.6
1 3 1, 35.89, 100.0
2 0 0, 43.27, 63.5
1 5 1, 44.41, 32.3
2 0 2, 62.86, 20.5
3 3 1, 74.56, 22.9
2 10 0, 82.57, 16.4

Structural model:
```
data_HoGa2Tc4
_chemical_formula_sum 'Ho2 Ga4 Tc8'
_cell_length_a 4.183
_cell_length_b 14.090
_cell_length_c 4.180
_cell_angle_alpha 90.00
_cell_angle_beta 90.00
_cell_angle_gamma 90.00
_symmetry_space_group_name_H-M 'C m m m'
_symmetry_Int_Tables_number 65
_symmetry_space_group_name_Hall '-C 2 2'
loop_
_atom_site_label
_atom_site_type_symbol
_atom_site_fract_x
_atom_site_fract_y
_atom_site_fract_z
Ho1 Ho 0.000 0.000 0.000
Ga1 Ga 0.000 0.413 0.500
Tc1 Tc 0.000 0.198 0.500
Tc2 Tc 0.000 0.301 0.000
```



Structure and computed X-ray powder pattern of Ho4GaTc (the PBE geometry in Alexandria; a wavelength of 1.5418 Å).

Main lines, sorted by position (10° ≤ 2θ ≤ 90°):
index, 2theta, intensity
1 1 -2, 29.95, 58.7
3 1 -1, 31.00, 100.0
0 4 1, 32.07, 90.0
2 4 -1, 34.62, 71.1
1 3 -2, 35.84, 88.9
1 5 0, 36.41, 38.1
2 2 1, 36.92, 92.7
3 3 0, 40.47, 67.4

Structural model:
```
data_Ho4GaTc
_chemical_formula_sum 'Ho16 Ga4 Tc4'
_cell_length_a 8.875
_cell_length_b 13.010
_cell_length_c 6.198
_cell_angle_alpha 90.00
_cell_angle_beta 118.67
_cell_angle_gamma 90.00
_symmetry_space_group_name_H-M 'C 1 2/c 1'
_symmetry_Int_Tables_number 15
loop_
_symmetry_equiv_pos_as_xyz
'x,y,z'
'-x,-y,-z'
'-x,y,-z+1/2'
'x,-y,z+1/2'
'x+1/2,y+1/2,z'
'-x+1/2,-y+1/2,-z'
'-x+1/2,y+1/2,-z+1/2'
'x+1/2,-y+1/2,z+1/2'
loop_
_atom_site_label
_atom_site_type_symbol
_atom_site_fract_x
_atom_site_fract_y
_atom_site_fract_z
Ho1 Ho 0.117 0.174 0.081
Ho2 Ho 0.211 0.431 0.309
Ga1 Ga 0.000 0.370 0.750
Tc1 Tc 0.000 0.001 0.750
```



Structure and computed X-ray powder pattern of HoGa3Tc (the PBE geometry in Alexandria; a wavelength of 1.5418 Å).

Main lines, sorted by position (10° ≤ 2θ ≤ 90°):
index, 2theta, intensity
1 1 0, 28.44, 48.7
0 0 2, 32.48, 20.3
1 0 2, 36.55, 40.4
2 0 1, 36.88, 100.0
2 0 2, 46.95, 42.5
2 1 1, 47.22, 19.7
2 2 0, 58.86, 21.8
2 0 3, 60.85, 22.8

Structural model:
```
data_HoGa3Tc
_chemical_formula_sum 'Ho2 Ga6 Tc2'
_cell_length_a 6.2757
_cell_length_b 6.2757
_cell_length_c 5.5131
_cell_angle_alpha 90.00
_cell_angle_beta 90.00
_cell_angle_gamma 120.00
_symmetry_space_group_name_H-M 'P 63/m m c'
_symmetry_Int_Tables_number 194
_symmetry_space_group_name_Hall '-P 6c 2c'
loop_
_atom_site_label
_atom_site_type_symbol
_atom_site_fract_x
_atom_site_fract_y
_atom_site_fract_z
Ho1 Ho 0.3333 0.6667 0.2500
Ga1 Ga 0.1966 0.3931 0.7500
Tc1 Tc 0.0000 0.0000 0.0000
```



Structure and computed X-ray powder pattern of Ho4GaTe (the PBE geometry in Alexandria; a wavelength of 1.5418 Å).

Main lines, sorted by position (10° ≤ 2θ ≤ 90°):
index, 2theta, intensity
1 1 4, 30.68, 100.0
0 1 5, 32.03, 41.7
3 0 1, 32.96, 26.7
2 1 3, 33.85, 52.9
1 0 7, 34.80, 13.6
0 0 8, 37.86, 26.2
0 2 0, 43.87, 25.3
0 2 8, 59.32, 17.2

Structural model:
```
data_Ho4GaTe
_chemical_formula_sum 'Ho16 Ga4 Te4'
_cell_length_a 8.238
_cell_length_b 4.127
_cell_length_c 19.000
_cell_angle_alpha 90.00
_cell_angle_beta 90.00
_cell_angle_gamma 90.00
_symmetry_space_group_name_H-M 'P n m a'
_symmetry_Int_Tables_number 62
loop_
_symmetry_equiv_pos_as_xyz
'x,y,z'
'-x,-y,-z'
'-x+1/2,-y,z+1/2'
'x+1/2,y,-z+1/2'
'x+1/2,-y+1/2,-z+1/2'
'-x+1/2,y+1/2,z+1/2'
'-x,y+1/2,-z'
'x,-y+1/2,z'
loop_
_atom_site_label
_atom_site_type_symbol
_atom_site_fract_x
_atom_site_fract_y
_atom_site_fract_z
Ho1 Ho 0.005 0.250 0.067
Ho2 Ho 0.039 0.750 0.215
Ho3 Ho 0.141 0.750 0.442
Ho4 Ho 0.141 0.750 0.650
Ga1 Ga 0.235 0.250 0.547
Te1 Te 0.239 0.250 0.312
```



Structure and computed X-ray powder pattern of HoThZn2Ga2 (the PBE geometry in Alexandria; a wavelength of 1.5418 Å).

Main lines, sorted by position (10° ≤ 2θ ≤ 90°):
index, 2theta, intensity
1 0 0, 23.27, 25.6
1 0 2, 33.55, 100.0
1 1 0, 40.90, 47.8
0 0 4, 48.77, 8.9
0 2 2, 53.89, 26.1
1 1 4, 65.48, 21.7
2 1 2, 69.80, 24.0
3 0 0, 74.47, 8.0

Structural model:
```
data_HoThZn2Ga2
_chemical_formula_sum 'Ho1 Th1 Zn2 Ga2'
_cell_length_a 4.4135
_cell_length_b 4.4135
_cell_length_c 7.4695
_cell_angle_alpha 90.00
_cell_angle_beta 90.00
_cell_angle_gamma 120.00
_symmetry_space_group_name_H-M 'P -3 m 1'
_symmetry_Int_Tables_number 164
_symmetry_space_group_name_Hall '-P 3 2"'
loop_
_atom_site_label
_atom_site_type_symbol
_atom_site_fract_x
_atom_site_fract_y
_atom_site_fract_z
Ho1 Ho 0.0000 0.0000 0.0000
Th1 Th 0.0000 0.0000 0.5000
Zn1 Zn 0.3333 0.6667 0.7693
Ga1 Ga 0.3333 0.6667 0.2360
```



Structure and computed X-ray powder pattern of Ho7TlGa5 (the PBE geometry in Alexandria; a wavelength of 1.5418 Å).

Main lines, sorted by position (10° ≤ 2θ ≤ 90°):
index, 2theta, intensity
2 0 0, 28.72, 71.0
1 0 3, 29.74, 53.8
1 3 0, 30.28, 84.5
2 0 2, 33.69, 37.1
0 0 4, 34.83, 92.6
1 3 2, 35.04, 100.0
2 2 2, 38.27, 91.3
2 6 0, 62.98, 33.1

Structural model:
```
data_Ho7TlGa5
_chemical_formula_sum 'Ho14 Tl2 Ga10'
_cell_length_a 6.217
_cell_length_b 10.062
_cell_length_c 10.292
_cell_angle_alpha 90.00
_cell_angle_beta 90.00
_cell_angle_gamma 90.00
_symmetry_space_group_name_H-M 'I m m 2'
_symmetry_Int_Tables_number 44
loop_
_symmetry_equiv_pos_as_xyz
'x,y,z'
'-x,-y,z'
'-x,y,z'
'x,-y,z'
'x+1/2,y+1/2,z+1/2'
'-x+1/2,-y+1/2,z+1/2'
'-x+1/2,y+1/2,z+1/2'
'x+1/2,-y+1/2,z+1/2'
loop_
_atom_site_label
_atom_site_type_symbol
_atom_site_fract_x
_atom_site_fract_y
_atom_site_fract_z
Ho1 Ho 0.000 0.000 0.000
Ho2 Ho 0.000 0.000 0.359
Ho3 Ho 0.000 0.320 0.127
Ho4 Ho 0.000 0.322 0.655
Ho5 Ho 0.000 0.500 0.376
Tl1 Tl 0.000 0.000 0.674
Ga1 Ga 0.000 0.500 0.888
Ga2 Ga 0.246 0.246 0.895
```